[1]
Computed XRD peak list
Compound: BaYSnSbO6
Radiation: Cu Kα (λ = 1.5418 Å)
Structure: DFT lattice parameters and positions (PBE)
No peak broadening, texture or thermal motion is included.

The 7 most intense peaks (5 to 70 degrees two-theta), by angle:
18.16°, intensity 2
29.87°, intensity 100
35.18°, intensity 1
36.80°, intensity 4
42.75°, intensity 31
53.02°, intensity 41
62.05°, intensity 19

Cell and atoms:
```
BaYSnSbO6
1.0
0.000 4.231 4.231
4.231 0.000 4.231
4.231 4.231 0.000
Ba Y Sn Sb O
1 1 1 1 6
Cartesian
0.000 0.000 0.000 Ba
2.115 2.115 2.115 Y
4.231 4.231 4.231 Sn
6.346 6.346 6.346 Sb
6.346 6.346 4.344 O
6.346 4.344 6.346 O
8.348 6.346 6.346 O
4.344 6.346 6.346 O
6.346 8.348 6.346 O
6.346 6.346 8.348 O
```

---

[2]
Computed XRD peak list
Compound: BaYSnSbO6
Radiation: Cu Kα (λ = 1.5418 Å)
Structure: DFT lattice parameters and positions (PBE)
No peak broadening, texture or thermal motion is included.

The 12 most intense peaks (5 to 70 degrees two-theta), by angle:
18.24°, intensity 3
29.92°, intensity 100
30.18°, intensity 53
35.50°, intensity 1
36.97°, intensity 5
42.44°, intensity 16
43.21°, intensity 29
52.96°, intensity 22
53.45°, intensity 43
62.17°, intensity 19
62.76°, intensity 9
69.96°, intensity 9

Cell and atoms:
```
BaYSnSbO6
1.0
5.922 0.000 0.000
0.000 5.922 0.000
0.000 0.000 8.520
Ba Y Sn Sb O
2 2 2 2 12
Cartesian
0.000 2.961 2.130 Ba
2.961 0.000 6.390 Ba
0.000 0.000 4.260 Y
2.961 2.961 0.000 Y
0.000 2.961 6.390 Sn
2.961 0.000 2.130 Sn
0.000 0.000 0.000 Sb
2.961 2.961 4.260 Sb
0.000 0.000 2.020 O
0.000 0.000 6.500 O
1.114 1.675 8.418 O
1.286 1.847 4.361 O
1.675 4.808 0.102 O
1.847 4.636 4.158 O
2.961 2.961 2.240 O
2.961 2.961 6.279 O
4.075 1.286 4.158 O
4.247 1.114 0.102 O
4.636 4.075 4.361 O
4.808 4.247 8.418 O
```

---

[3]
Computed XRD peak list
Compound: BaSrTbSbO6
Radiation: Cu Kα (λ = 1.5418 Å)
Structure: DFT lattice parameters and positions (PBE)
No peak broadening, texture or thermal motion is included.

The 12 most intense peaks (5 to 70 degrees two-theta), by angle:
18.12°, intensity 3
20.95°, intensity 5
29.80°, intensity 100
35.10°, intensity 2
42.65°, intensity 30
46.69°, intensity 1
47.98°, intensity 2
52.90°, intensity 40
56.38°, intensity 1
61.90°, intensity 19
65.08°, intensity 1
66.12°, intensity 1

Cell and atoms:
```
BaSrTbSbO6
1.0
0.000 4.240 4.240
4.240 0.000 4.240
4.240 4.240 0.000
Ba Sr Tb Sb O
1 1 1 1 6
Cartesian
0.000 0.000 0.000 Ba
4.240 4.240 4.240 Sr
2.120 2.120 2.120 Tb
6.359 6.359 6.359 Sb
6.359 6.359 4.353 O
6.359 4.353 6.359 O
8.365 6.359 6.359 O
4.353 6.359 6.359 O
6.359 8.365 6.359 O
6.359 6.359 8.365 O
```

---

[4]
Computed XRD peak list
Compound: BaSrTbSbO6
Radiation: Cu Kα (λ = 1.5418 Å)
Structure: DFT lattice parameters and positions (PBE)
No peak broadening, texture or thermal motion is included.

The 12 most intense peaks (5 to 70 degrees two-theta), by angle:
14.82°, intensity 2
21.03°, intensity 6
29.89°, intensity 100
30.02°, intensity 20
42.72°, intensity 11
42.86°, intensity 23
48.11°, intensity 2
53.02°, intensity 25
53.09°, intensity 8
53.23°, intensity 17
62.10°, intensity 17
62.40°, intensity 3

Cell and atoms:
```
BaSrTbSbO6
1.0
5.976 0.000 0.000
-0.021 5.976 0.000
-0.029 -0.033 8.443
Ba Sr Tb Sb O
2 2 2 2 12
Cartesian
0.014 0.083 2.109 Ba
5.912 5.860 6.334 Ba
2.952 3.131 2.123 Sr
2.973 2.812 6.321 Sr
-0.025 2.972 4.222 Tb
2.988 0.000 0.000 Tb
-0.011 2.988 0.000 Sb
2.974 -0.017 4.222 Sb
0.360 2.964 6.459 O
1.256 4.532 0.240 O
1.415 4.682 4.019 O
1.562 1.746 0.290 O
1.745 1.573 3.953 O
2.684 0.112 6.211 O
3.242 5.831 2.233 O
4.181 4.370 4.491 O
4.364 4.197 8.153 O
4.511 1.261 4.424 O
4.670 1.411 8.204 O
5.566 2.979 1.984 O
```

---

[5]
Computed XRD peak list
Compound: BaSrTbSbO6
Radiation: Cu Kα (λ = 1.5418 Å)
Structure: DFT lattice parameters and positions (PBE)
No peak broadening, texture or thermal motion is included.

The 12 most intense peaks (5 to 70 degrees two-theta), by angle:
14.80°, intensity 1
18.15°, intensity 1
20.99°, intensity 5
29.85°, intensity 100
35.16°, intensity 1
39.84°, intensity 1
42.73°, intensity 29
46.78°, intensity 1
48.07°, intensity 2
53.00°, intensity 42
62.02°, intensity 17
66.25°, intensity 1

Cell and atoms:
```
BaSrTbSbO6
1.0
8.461 0.000 0.000
0.000 8.466 0.000
0.000 0.000 8.468
Ba Sr Tb Sb O
4 4 4 4 24
Cartesian
0.000 0.000 0.000 Ba
0.000 4.233 0.000 Ba
4.230 0.000 0.000 Ba
4.230 4.233 4.234 Ba
0.000 0.000 4.234 Sr
0.000 4.233 4.234 Sr
4.230 0.000 4.234 Sr
4.230 4.233 0.000 Sr
2.122 2.121 6.334 Tb
2.122 6.345 2.134 Tb
6.339 2.121 2.134 Tb
6.339 6.345 6.334 Tb
2.116 2.123 2.145 Sb
2.116 6.343 6.323 Sb
6.345 2.123 6.323 Sb
6.345 6.343 2.145 Sb
0.113 2.310 1.975 O
0.113 6.156 6.493 O
1.889 2.389 4.127 O
1.889 6.077 4.341 O
1.900 0.120 2.364 O
1.900 8.346 6.104 O
2.274 1.942 0.133 O
2.274 6.524 8.336 O
2.385 4.115 1.911 O
2.385 4.351 6.557 O
4.104 1.870 2.377 O
4.104 6.595 6.091 O
4.356 1.870 6.091 O
4.356 6.595 2.377 O
6.076 4.115 6.557 O
6.076 4.351 1.911 O
6.187 1.942 8.336 O
6.187 6.524 0.133 O
6.561 0.120 6.104 O
6.561 8.346 2.364 O
6.572 2.389 4.341 O
6.572 6.077 4.127 O
8.348 2.310 6.493 O
8.348 6.156 1.975 O
```

---

[6]
Computed XRD peak list
Compound: Ba3SrY2Sb2O12
Radiation: Cu Kα (λ = 1.5418 Å)
Structure: DFT lattice parameters and positions (PBE)
No peak broadening, texture or thermal motion is included.

The 7 most intense peaks (5 to 70 degrees two-theta), by angle:
18.10°, intensity 2
29.77°, intensity 100
35.07°, intensity 1
36.68°, intensity 3
42.61°, intensity 31
52.84°, intensity 40
61.84°, intensity 19

Cell and atoms:
```
Ba3SrY2Sb2O12
1.0
6.000 0.000 0.000
3.000 5.201 0.000
3.000 1.719 9.796
Ba Sr Y Sb O
3 1 2 2 12
Cartesian
0.000 0.000 0.000 Ba
2.995 1.730 2.461 Ba
6.001 3.460 4.929 Ba
9.008 5.190 7.367 Sr
6.000 3.454 8.574 Y
9.001 5.196 3.702 Y
2.999 1.725 6.156 Sb
6.002 3.465 1.222 Sb
2.998 3.383 5.011 O
4.704 6.037 4.891 O
4.267 2.661 7.399 O
6.007 5.282 7.303 O
4.463 4.212 2.296 O
4.567 0.960 5.138 O
6.002 5.095 0.047 O
7.729 4.315 9.722 O
7.300 4.355 2.491 O
5.995 1.821 2.395 O
7.431 2.424 7.201 O
7.540 2.717 0.167 O
```

---

[7]
Computed XRD peak list
Compound: Ba2TbSbO6
Radiation: Cu Kα (λ = 1.5418 Å)
Structure: DFT lattice parameters and positions (PBE)
No peak broadening, texture or thermal motion is included.

The 10 most intense peaks (5 to 70 degrees two-theta), by angle:
17.98°, intensity 1
20.79°, intensity 1
29.57°, intensity 100
34.82°, intensity 1
36.42°, intensity 1
42.31°, intensity 29
46.32°, intensity 1
52.46°, intensity 41
61.38°, intensity 18
69.59°, intensity 18

Cell and atoms:
```
Ba2TbSbO6
1.0
0.000 4.272 4.272
4.272 0.000 4.272
4.272 4.272 0.000
Ba Tb Sb O
2 1 1 6
Cartesian
2.136 2.136 2.136 Ba
6.409 6.409 6.409 Ba
0.000 0.000 0.000 Tb
4.272 4.272 4.272 Sb
4.272 4.272 2.254 O
4.272 2.254 4.272 O
6.291 4.272 4.272 O
2.254 4.272 4.272 O
4.272 6.291 4.272 O
4.272 4.272 6.291 O
```

---

[8]
Computed XRD peak list
Compound: BaTi2Sb2O
Radiation: Cu Kα (λ = 1.5418 Å)
Structure: DFT lattice parameters and positions (PBE)
No peak broadening, texture or thermal motion is included.

The 12 most intense peaks (5 to 70 degrees two-theta), by angle:
24.14°, intensity 17
30.58°, intensity 100
30.74°, intensity 28
32.62°, intensity 23
37.75°, intensity 13
43.55°, intensity 14
44.03°, intensity 28
45.20°, intensity 12
54.25°, intensity 11
54.55°, intensity 38
63.66°, intensity 18
64.02°, intensity 9

Cell and atoms:
```
BaTi2Sb2O
1.0
4.113 0.000 0.000
0.000 4.113 0.000
0.000 0.000 8.312
Ba Ti Sb O
1 2 2 1
Cartesian
0.000 0.000 0.000 Ba
0.000 2.057 4.156 Ti
2.057 0.000 4.156 Ti
2.057 2.057 2.118 Sb
2.057 2.057 6.195 Sb
0.000 0.000 4.156 O
```

---

[9]
Computed XRD peak list
Compound: Ba2Tl2Sb3O10
Radiation: Cu Kα (λ = 1.5418 Å)
Structure: DFT lattice parameters and positions (PBE)
No peak broadening, texture or thermal motion is included.

The 12 most intense peaks (5 to 70 degrees two-theta), by angle:
25.60°, intensity 16
27.85°, intensity 100
28.06°, intensity 35
30.61°, intensity 50
31.18°, intensity 35
32.89°, intensity 84
45.84°, intensity 26
46.07°, intensity 31
47.03°, intensity 21
47.37°, intensity 21
57.55°, intensity 20
57.93°, intensity 18

Cell and atoms:
```
Ba2Tl2Sb3O10
1.0
3.839 0.000 0.000
-0.001 3.864 0.000
-1.782 -1.928 20.079
Ba Tl Sb O
2 2 3 10
Cartesian
0.000 0.000 0.000 Ba
0.224 0.047 11.913 Ba
0.180 0.152 17.179 Tl
2.121 2.094 14.818 Tl
1.909 1.937 2.782 Sb
2.008 2.030 5.955 Sb
2.142 1.990 9.130 Sb
-0.014 1.934 1.977 O
0.096 2.033 6.602 O
0.217 1.987 9.952 O
0.200 -0.359 15.097 O
0.148 -0.022 19.250 O
1.907 0.008 1.981 O
2.015 0.095 5.345 O
2.146 0.057 9.919 O
2.143 1.947 12.746 O
2.102 1.566 16.899 O
```

---

Question: What is the formula in the ninth record?
Answer: Ba2Tl2Sb3O10